Entry 1:
Diffraction record for Sr3Zn4Au4. The powder diffraction line list is calculated, not measured: it uses a crystal structure in Alexandria, relaxed with GGA-PBE and copper Kα.
Intensities are scaled so that the largest is 1000.

Structure:
a = 4.3193 Å, b = 4.5508 Å, c = 13.9020 Å
α = 80.78°, β = 81.11°, γ = 89.82°
Positions (direct):
Sr 0.0000 0.0000 0.0000
Sr 0.1490 0.6496 0.7023
Sr 0.8510 0.3504 0.2977
Zn 0.2496 0.2527 0.4965
Zn 0.4008 0.9005 0.1979
Zn 0.5992 0.0995 0.8021
Zn 0.7504 0.7473 0.5035
Au 0.3071 0.8045 0.3901
Au 0.4457 0.4452 0.1051
Au 0.5543 0.5548 0.8949
Au 0.6929 0.1955 0.6099

Top 6 peaks for 2θ from 15° to 90°, sorted by position:
- 2θ 20.82, intensity 673
- 2θ 29.22, intensity 519
- 2θ 29.30, intensity 515
- 2θ 31.02, intensity 1000
- 2θ 39.61, intensity 647
- 2θ 41.80, intensity 832

Entry 2:
Diffraction record for SrZn4Au6. The powder diffraction line list is calculated, not measured: it uses a crystal structure in Alexandria, relaxed with GGA-PBE and copper Kα.
Intensities are scaled so that the largest is 1000.

Structure:
a = 6.8623 Å, b = 6.8623 Å, c = 6.8623 Å
α = 120.27°, β = 120.27°, γ = 89.53°
Positions (direct):
Sr 0.0000 0.0000 0.0000
Zn 0.2422 0.2422 0.6776
Zn 0.4355 0.7578 0.0000
Zn 0.5645 0.5645 0.3224
Zn 0.7578 0.4355 0.0000
Au 0.0000 0.5000 0.5000
Au 0.1162 0.5248 0.0000
Au 0.4752 0.4752 0.5914
Au 0.5000 0.0000 0.5000
Au 0.5248 0.1162 0.0000
Au 0.8838 0.8838 0.4086

Top 6 peaks for 2θ from 15° to 90°, sorted by position:
- 2θ 25.97, intensity 538
- 2θ 30.66, intensity 336
- 2θ 31.99, intensity 1000
- 2θ 37.21, intensity 545
- 2θ 41.51, intensity 579
- 2θ 41.79, intensity 275

Entry 3:
Diffraction record for SrZn6Au4. The powder diffraction line list is calculated, not measured: it uses a crystal structure in Alexandria, relaxed with GGA-PBE and copper Kα.
Intensities are scaled so that the largest is 1000.

Structure:
a = 7.5149 Å, b = 7.5149 Å, c = 4.2677 Å
α = 90.00°, β = 90.00°, γ = 120.00°
Positions (direct):
Sr 0.0000 0.0000 0.0000
Zn 0.2063 0.4126 0.5000
Zn 0.2063 0.7937 0.5000
Zn 0.5382 0.0764 0.0000
Zn 0.5382 0.4618 0.0000
Zn 0.5874 0.7937 0.5000
Zn 0.9236 0.4618 0.0000
Au 0.3333 0.6667 0.0000
Au 0.3961 0.1981 0.5000
Au 0.8019 0.1981 0.5000
Au 0.8019 0.6039 0.5000

Top 6 peaks for 2θ from 15° to 90°, sorted by position:
- 2θ 27.41, intensity 402
- 2θ 31.73, intensity 391
- 2θ 34.67, intensity 499
- 2θ 36.53, intensity 323
- 2θ 42.40, intensity 1000
- 2θ 46.99, intensity 353

Entry 4:
Diffraction record for Sr2Zn5Au12. The powder diffraction line list is calculated, not measured: it uses a crystal structure in Alexandria, relaxed with GGA-PBE and copper Kα.
Intensities are scaled so that the largest is 1000.

Structure:
a = 7.2488 Å, b = 7.2488 Å, c = 7.2488 Å
α = 82.49°, β = 82.49°, γ = 82.49°
Positions (direct):
Sr 0.1481 0.1481 0.1481
Sr 0.8519 0.8519 0.8519
Zn 0.0000 0.5000 0.5000
Zn 0.4007 0.4007 0.4007
Zn 0.5000 0.0000 0.5000
Zn 0.5000 0.5000 0.0000
Zn 0.5993 0.5993 0.5993
Au 0.1634 0.1634 0.6321
Au 0.1634 0.6321 0.1634
Au 0.1965 0.5000 0.8035
Au 0.1965 0.8035 0.5000
Au 0.3679 0.8366 0.8366
Au 0.5000 0.1965 0.8035
Au 0.5000 0.8035 0.1965
Au 0.6321 0.1634 0.1634
Au 0.8035 0.1965 0.5000
Au 0.8035 0.5000 0.1965
Au 0.8366 0.3679 0.8366
Au 0.8366 0.8366 0.3679

Top 6 peaks for 2θ from 15° to 90°, sorted by position:
- 2θ 18.57, intensity 505
- 2θ 33.39, intensity 341
- 2θ 37.81, intensity 1000
- 2θ 38.30, intensity 351
- 2θ 42.44, intensity 774
- 2θ 42.88, intensity 234

Entry 5:
Diffraction record for Sr2ZnAu. The powder diffraction line list is calculated, not measured: it uses a crystal structure in Alexandria, relaxed with GGA-PBE and copper Kα.
Intensities are scaled so that the largest is 1000.

Structure:
a = 6.3120 Å, b = 4.6419 Å, c = 8.9727 Å
α = 90.00°, β = 110.01°, γ = 90.00°
Positions (direct):
Sr 0.2069 0.2500 0.4267
Sr 0.2813 0.7500 0.0689
Sr 0.7187 0.2500 0.9311
Sr 0.7931 0.7500 0.5733
Zn 0.3490 0.7500 0.7189
Zn 0.6510 0.2500 0.2811
Au 0.1577 0.2500 0.7825
Au 0.8423 0.7500 0.2175

Top 6 peaks for 2θ from 15° to 90°, sorted by position:
- 2θ 15.04, intensity 426
- 2θ 28.60, intensity 982
- 2θ 30.15, intensity 489
- 2θ 35.95, intensity 1000
- 2θ 36.11, intensity 533
- 2θ 38.80, intensity 371

Entry 6:
Diffraction record for Sr2Zn5Au5. The powder diffraction line list is calculated, not measured: it uses a crystal structure in Alexandria, relaxed with GGA-PBE and copper Kα.
Intensities are scaled so that the largest is 1000.

Structure:
a = 4.4448 Å, b = 5.5146 Å, c = 10.0102 Å
α = 90.00°, β = 90.00°, γ = 90.00°
Positions (direct):
Sr 0.0000 0.0000 0.0000
Sr 0.0000 0.5000 0.5000
Zn 0.5000 0.0000 0.5000
Zn 0.5000 0.2484 0.2485
Zn 0.5000 0.2484 0.7515
Zn 0.5000 0.7516 0.2485
Zn 0.5000 0.7516 0.7515
Au 0.0000 0.0000 0.3332
Au 0.0000 0.0000 0.6668
Au 0.0000 0.5000 0.1840
Au 0.0000 0.5000 0.8160
Au 0.5000 0.5000 0.0000

Top 6 peaks for 2θ from 15° to 90°, sorted by position:
- 2θ 18.37, intensity 386
- 2θ 31.35, intensity 290
- 2θ 37.44, intensity 1000
- 2θ 38.42, intensity 305
- 2θ 40.59, intensity 313
- 2θ 42.60, intensity 343

Entry 7:
Diffraction record for Sr3Zn3Au8. The powder diffraction line list is calculated, not measured: it uses a crystal structure in Alexandria, relaxed with GGA-PBE and copper Kα.
Intensities are scaled so that the largest is 1000.

Structure:
a = 8.7649 Å, b = 8.7649 Å, c = 9.2973 Å
α = 121.17°, β = 121.17°, γ = 30.91°
Positions (direct):
Sr 0.0000 0.0000 0.0000
Sr 0.2943 0.2943 0.3199
Sr 0.7057 0.7057 0.6801
Zn 0.0000 0.0000 0.5000
Zn 0.3268 0.3268 0.9924
Zn 0.6732 0.6732 0.0076
Au 0.1208 0.1208 0.4038
Au 0.1366 0.1366 0.8468
Au 0.3510 0.3510 0.7388
Au 0.4899 0.4899 0.3143
Au 0.5101 0.5101 0.6857
Au 0.6490 0.6490 0.2612
Au 0.8634 0.8634 0.1532
Au 0.8792 0.8792 0.5962

Top 6 peaks for 2θ from 15° to 90°, sorted by position:
- 2θ 19.09, intensity 382
- 2θ 32.91, intensity 1000
- 2θ 33.21, intensity 854
- 2θ 36.94, intensity 386
- 2θ 37.19, intensity 455
- 2θ 38.55, intensity 753

Entry 8:
Diffraction record for Sr3Zn3Au. The powder diffraction line list is calculated, not measured: it uses a crystal structure in Alexandria, relaxed with GGA-PBE and copper Kα.
Intensities are scaled so that the largest is 1000.

Structure:
a = 6.2966 Å, b = 6.2966 Å, c = 16.1747 Å
α = 108.71°, β = 108.71°, γ = 42.72°
Positions (direct):
Sr 0.0403 0.0403 0.2710
Sr 0.1783 0.1783 0.5757
Sr 0.3198 0.3198 0.8994
Sr 0.6802 0.6802 0.1006
Sr 0.8217 0.8217 0.4243
Sr 0.9597 0.9597 0.7290
Zn 0.0547 0.0547 0.9429
Zn 0.3337 0.3337 0.2697
Zn 0.4763 0.4763 0.5769
Zn 0.5237 0.5237 0.4231
Zn 0.6663 0.6663 0.7303
Zn 0.9453 0.9453 0.0571
Au 0.3970 0.3970 0.1240
Au 0.6030 0.6030 0.8760

Top 6 peaks for 2θ from 15° to 90°, sorted by position:
- 2θ 29.24, intensity 684
- 2θ 29.44, intensity 649
- 2θ 30.14, intensity 1000
- 2θ 36.37, intensity 316
- 2θ 36.88, intensity 679
- 2θ 39.29, intensity 561

Entry 9:
Diffraction record for SrZrAu4. The powder diffraction line list is calculated, not measured: it uses a crystal structure in Alexandria, relaxed with GGA-PBE and copper Kα.
Intensities are scaled so that the largest is 1000.

Structure:
a = 5.6788 Å, b = 5.6788 Å, c = 5.6788 Å
α = 60.00°, β = 60.00°, γ = 60.00°
Positions (direct):
Sr 0.0000 0.0000 0.0000
Zr 0.7500 0.7500 0.7500
Au 0.3754 0.3754 0.3754
Au 0.3754 0.3754 0.8740
Au 0.3754 0.8740 0.3754
Au 0.8740 0.3754 0.3754

Top 6 peaks for 2θ from 15° to 90°, sorted by position:
- 2θ 19.14, intensity 429
- 2θ 37.13, intensity 1000
- 2θ 38.84, intensity 675
- 2θ 59.84, intensity 335
- 2θ 65.78, intensity 328
- 2θ 79.10, intensity 267

Entry 10:
Diffraction record for SrZrAu. The powder diffraction line list is calculated, not measured: it uses a crystal structure in Alexandria, relaxed with GGA-PBE and copper Kα.
Intensities are scaled so that the largest is 1000.

Structure:
a = 3.6544 Å, b = 3.6544 Å, c = 12.3941 Å
α = 90.00°, β = 90.00°, γ = 90.00°
Positions (direct):
Sr 0.0000 0.0000 0.1614
Sr 0.0000 0.0000 0.8386
Zr 0.5000 0.5000 0.3809
Zr 0.5000 0.5000 0.6191
Au 0.0000 0.0000 0.5000
Au 0.5000 0.5000 0.0000

Top 6 peaks for 2θ from 15° to 90°, sorted by position:
- 2θ 32.72, intensity 1000
- 2θ 34.72, intensity 519
- 2θ 37.72, intensity 160
- 2θ 44.15, intensity 221
- 2θ 49.91, intensity 185
- 2θ 60.97, intensity 335

Entry 11:
Diffraction record for TaAu2. The powder diffraction line list is calculated, not measured: it uses a crystal structure in Alexandria, relaxed with GGA-PBE and copper Kα.
Intensities are scaled so that the largest is 1000.

Structure:
a = 2.9490 Å, b = 2.9490 Å, c = 7.1793 Å
α = 90.00°, β = 90.00°, γ = 120.00°
Positions (direct):
Ta 0.0000 0.0000 0.0000
Au 0.3333 0.6667 0.6733
Au 0.6667 0.3333 0.3267

Top 6 peaks for 2θ from 15° to 90°, sorted by position:
- 2θ 37.37, intensity 1000
- 2θ 37.59, intensity 324
- 2θ 43.49, intensity 653
- 2θ 63.05, intensity 221
- 2θ 63.34, intensity 217
- 2θ 75.78, intensity 260

Entry 12:
Diffraction record for Ta5Au. The powder diffraction line list is calculated, not measured: it uses a crystal structure in Alexandria, relaxed with GGA-PBE and copper Kα.
Intensities are scaled so that the largest is 1000.

Structure:
a = 7.1767 Å, b = 7.1767 Å, c = 3.4333 Å
α = 90.00°, β = 90.00°, γ = 142.30°
Positions (direct):
Ta 0.0000 0.0000 0.0000
Ta 0.1641 0.8359 0.5000
Ta 0.3298 0.6702 0.0000
Ta 0.6702 0.3298 0.0000
Ta 0.8359 0.1641 0.5000
Au 0.5000 0.5000 0.5000

Top 6 peaks for 2θ from 15° to 90°, sorted by position:
- 2θ 38.19, intensity 1000
- 2θ 38.84, intensity 239
- 2θ 39.82, intensity 222
- 2θ 56.84, intensity 159
- 2θ 69.89, intensity 173
- 2θ 71.21, intensity 161

Question: What is the formula in the eighth record?
Answer: Sr3Zn3Au